Entry 1:
MnCu6Pd8: theoretical powder diffraction line list (Cu Kα, 1.54184 Å), based on a cell relaxed with GGA-PBE.
Kinematic intensities with the Lorentz-polarization factor, no thermal factor.

Top 6 peaks for 10° ≤ 2θ ≤ 80°, in order of rising 2θ:
2θ = 24.6°, I = 8; 2θ = 30.3°, I = 21; 2θ = 43.4°, I = 100; 2θ = 63.0°, I = 16; 2θ = 71.5°, I = 7; 2θ = 79.6°, I = 30

Crystal structure
```
15
Lattice="7.226 0.000 0.000 -3.613 6.258 0.000 0.000 0.000 5.112" Properties=species:S:1:pos:R:3 pbc="T T T"
Mn 0.000 0.000 0.000
Cu -2.404 4.172 0.777
Cu 1.202 2.090 0.777
Cu 2.411 0.004 4.335
Cu 1.202 6.253 0.777
Cu 2.411 4.168 4.335
Cu 6.017 2.086 4.335
Pd 6.043 2.045 1.783
Pd -2.430 4.213 3.329
Pd 2.362 0.002 1.783
Pd 1.180 2.046 3.329
Pd 0.000 4.172 5.100
Pd 3.613 2.086 0.012
Pd 1.251 6.256 3.329
Pd 2.433 4.211 1.783
```

=====

Entry 2:
Dy5ErTm12: theoretical powder diffraction line list (Cu Kα, 1.54184 Å), based on a cell relaxed with GGA-PBE.
Kinematic intensities with the Lorentz-polarization factor, no thermal factor.

Top 6 peaks for 10° ≤ 2θ ≤ 80°, in order of rising 2θ:
2θ = 30.7°, I = 98; 2θ = 31.6°, I = 90; 2θ = 32.6°, I = 100; 2θ = 34.4°, I = 91; 2θ = 52.1°, I = 67; 2θ = 62.2°, I = 78

Crystal structure
```
18
Lattice="3.040 -5.261 0.000 3.040 5.261 0.000 -2.033 0.000 16.998" Properties=species:S:1:pos:R:3 pbc="T T T"
Dy 0.000 0.000 0.000
Dy 2.024 3.507 8.499
Dy 3.040 1.754 0.000
Dy 3.040 -1.754 0.000
Dy 2.024 -3.507 8.499
Er 2.024 0.000 8.499
Tm 1.019 1.754 2.835
Tm 0.003 0.000 5.636
Tm 1.005 1.753 11.361
Tm -0.013 0.000 14.163
Tm 1.019 -1.754 2.835
Tm 3.042 1.753 5.636
Tm 1.005 -1.753 11.361
Tm 3.028 1.754 14.162
Tm 4.060 0.000 2.835
Tm 3.042 -1.753 5.636
Tm 4.044 0.000 11.361
Tm 3.028 -1.754 14.162
```

=====

Entry 3:
NdSm4Ho15: theoretical powder diffraction line list (Cu Kα, 1.54184 Å), based on a cell relaxed with GGA-PBE.
Kinematic intensities with the Lorentz-polarization factor, no thermal factor.

Top 6 peaks for 10° ≤ 2θ ≤ 80°, in order of rising 2θ:
2θ = 30.8°, I = 100; 2θ = 35.7°, I = 34; 2θ = 35.8°, I = 17; 2θ = 51.5°, I = 36; 2θ = 61.2°, I = 29; 2θ = 61.3°, I = 14

Crystal structure
```
20
Lattice="5.028 0.000 0.000 0.000 5.028 0.000 0.000 0.000 25.060" Properties=species:S:1:pos:R:3 pbc="T T T"
Nd 0.000 0.000 0.000
Sm 0.000 0.000 5.015
Sm 0.000 0.000 10.025
Sm 0.000 0.000 15.035
Sm 0.000 0.000 20.045
Ho 0.000 2.514 2.517
Ho 0.000 2.514 7.520
Ho 0.000 2.514 12.530
Ho 0.000 2.514 17.540
Ho 0.000 2.514 22.543
Ho 2.514 0.000 2.517
Ho 2.514 0.000 7.520
Ho 2.514 0.000 12.530
Ho 2.514 0.000 17.540
Ho 2.514 0.000 22.543
Ho 2.514 2.514 0.000
Ho 2.514 2.514 5.019
Ho 2.514 2.514 10.025
Ho 2.514 2.514 15.035
Ho 2.514 2.514 20.041
```

=====

Entry 4:
Sm4PaCo5: theoretical powder diffraction line list (Cu Kα, 1.54184 Å), based on a cell relaxed with GGA-PBE.
Kinematic intensities with the Lorentz-polarization factor, no thermal factor.

Top 6 peaks for 10° ≤ 2θ ≤ 80°, in order of rising 2θ:
2θ = 28.3°, I = 100; 2θ = 34.5°, I = 62; 2θ = 36.7°, I = 33; 2θ = 39.1°, I = 32; 2θ = 39.8°, I = 32; 2θ = 41.6°, I = 41

Crystal structure
```
10
Lattice="-4.605 4.605 2.446 4.605 -4.605 2.446 4.605 4.605 -2.446" Properties=species:S:1:pos:R:3 pbc="T T T"
Sm 2.645 0.000 0.000
Sm 6.565 0.000 0.000
Sm 0.000 2.645 0.000
Sm 0.000 6.565 0.000
Pa 0.000 0.000 1.991
Co 2.937 2.937 0.103
Co 1.668 -1.668 2.550
Co -1.668 1.668 2.550
Co 1.668 1.668 2.550
Co 0.000 0.000 4.338
```

=====

Entry 5:
Ac2MnN: theoretical powder diffraction line list (Cu Kα, 1.54184 Å), based on a cell relaxed with GGA-PBE.
Kinematic intensities with the Lorentz-polarization factor, no thermal factor.

Top 6 peaks for 10° ≤ 2θ ≤ 80°, in order of rising 2θ:
2θ = 27.7°, I = 55; 2θ = 27.9°, I = 100; 2θ = 30.4°, I = 70; 2θ = 31.8°, I = 65; 2θ = 37.4°, I = 64; 2θ = 57.3°, I = 45

Crystal structure
```
4
Lattice="1.856 1.072 9.671 -1.856 1.072 9.671 0.000 -2.144 9.671" Properties=species:S:1:pos:R:3 pbc="T T T"
Ac 0.000 0.000 3.292
Ac 0.000 0.000 25.722
Mn 0.000 0.000 0.000
N 0.000 0.000 14.507
```

=====

Entry 6:
Li7Ca2Cd: theoretical powder diffraction line list (Cu Kα, 1.54184 Å), based on a cell relaxed with GGA-PBE.
Kinematic intensities with the Lorentz-polarization factor, no thermal factor.

Top 6 peaks for 10° ≤ 2θ ≤ 80°, in order of rising 2θ:
2θ = 18.5°, I = 32; 2θ = 20.3°, I = 74; 2θ = 25.0°, I = 38; 2θ = 31.3°, I = 100; 2θ = 37.6°, I = 25; 2θ = 43.1°, I = 23

Crystal structure
```
10
Lattice="4.787 0.000 0.000 0.000 4.787 0.000 0.000 0.000 10.684" Properties=species:S:1:pos:R:3 pbc="T T T"
Li 0.000 0.000 0.000
Li 0.000 0.000 5.342
Li 0.000 2.393 1.432
Li 0.000 2.393 4.064
Li 2.393 0.000 6.619
Li 2.393 0.000 9.252
Li 2.393 2.393 0.000
Ca 0.000 2.393 7.887
Ca 2.393 0.000 2.797
Cd 2.393 2.393 5.342
```